[1]
Starting from DFT lattice parameters and positions (GGA-PBE), the PXRD pattern of Tb2PmPr2Tm2 was simulated for Cu Kα.
Lines closer than 0.1° are merged.

Atomic structure:
Cell: 11.730 3.506 11.521 Å, 90.00 100.33 90.00°
Positions (direct):
Tb: 0.149 0.000 0.067
Tb: 0.351 0.500 0.933
Tb: 0.649 0.500 0.067
Tb: 0.851 0.000 0.933
Pm: 0.000 0.500 0.500
Pm: 0.500 0.000 0.500
Pr: 0.242 0.500 0.350
Pr: 0.258 0.000 0.650
Pr: 0.742 0.000 0.350
Pr: 0.758 0.500 0.650
Tm: 0.059 0.500 0.806
Tm: 0.441 0.000 0.194
Tm: 0.559 0.000 0.806
Tm: 0.941 0.500 0.194

Peak list (6 most intense, 2θ = 5–70°, in order of rising 2θ)
- 2θ = 30.25°, rel. 57
- 2θ = 30.54°, rel. 100
- 2θ = 32.61°, rel. 38
- 2θ = 34.60°, rel. 30
- 2θ = 36.49°, rel. 34
- 2θ = 61.68°, rel. 28

[2]
Starting from DFT lattice parameters and positions (GGA-PBE), the PXRD pattern of TbPm5PrY2 was simulated for Cu Kα.
Lines closer than 0.1° are merged.

Atomic structure:
Cell: 10.580 10.580 10.658 Å, 90.00 90.00 148.57°
Positions (direct):
Tb: 0.201 0.799 0.500
Tb: 0.799 0.201 0.000
Pm: 0.018 0.982 0.512
Pm: 0.281 0.719 0.801
Pm: 0.297 0.703 0.195
Pm: 0.390 0.610 0.514
Pm: 0.479 0.521 0.230
Pm: 0.521 0.479 0.730
Pm: 0.610 0.390 0.014
Pm: 0.703 0.297 0.695
Pm: 0.719 0.281 0.301
Pm: 0.982 0.018 0.012
Pr: 0.414 0.586 0.942
Pr: 0.586 0.414 0.442
Y: 0.113 0.887 0.222
Y: 0.116 0.884 0.811
Y: 0.884 0.116 0.311
Y: 0.887 0.113 0.722

Peak list (6 most intense, 2θ = 5–70°, in order of rising 2θ)
- 2θ = 27.57°, rel. 21
- 2θ = 29.91°, rel. 40
- 2θ = 31.21°, rel. 43
- 2θ = 31.75°, rel. 100
- 2θ = 55.88°, rel. 21
- 2θ = 58.46°, rel. 15

[3]
Starting from DFT lattice parameters and positions (GGA-PBE), the PXRD pattern of Tb2Pm2PrY6 was simulated for Cu Kα.
Lines closer than 0.1° are merged.

Atomic structure:
Cell: 6.692 6.692 10.661 Å, 90.03 90.03 129.23°
Positions (direct):
Tb: 0.205 0.795 0.000
Tb: 0.795 0.205 0.000
Pm: 0.134 0.866 0.500
Pm: 0.866 0.134 0.500
Pr: 0.500 0.500 0.000
Y: 0.001 0.001 0.790
Y: 0.346 0.652 0.293
Y: 0.348 0.654 0.707
Y: 0.652 0.346 0.293
Y: 0.654 0.348 0.707
Y: 0.999 0.999 0.210

Peak list (6 most intense, 2θ = 5–70°, in order of rising 2θ)
- 2θ = 30.50°, rel. 27
- 2θ = 30.74°, rel. 22
- 2θ = 31.17°, rel. 38
- 2θ = 31.91°, rel. 100
- 2θ = 33.63°, rel. 19
- 2θ = 55.93°, rel. 20

[4]
Starting from DFT lattice parameters and positions (GGA-PBE), the PXRD pattern of Tb2PmPrY6 was simulated for Cu Kα.
Lines closer than 0.1° are merged.

Atomic structure:
Cell: 8.819 8.819 9.753 Å, 94.56 94.56 117.30°
Positions (direct):
Tb: 0.192 0.292 0.046
Tb: 0.292 0.192 0.546
Tb: 0.708 0.808 0.454
Tb: 0.808 0.708 0.954
Pm: 0.024 0.976 0.250
Pm: 0.976 0.024 0.750
Pr: 0.406 0.594 0.750
Pr: 0.594 0.406 0.250
Y: 0.023 0.572 0.181
Y: 0.118 0.748 0.557
Y: 0.252 0.882 0.943
Y: 0.296 0.508 0.382
Y: 0.428 0.977 0.319
Y: 0.492 0.704 0.118
Y: 0.508 0.296 0.882
Y: 0.572 0.023 0.681
Y: 0.704 0.492 0.618
Y: 0.748 0.118 0.057
Y: 0.882 0.252 0.443
Y: 0.977 0.428 0.819

Peak list (6 most intense, 2θ = 5–70°, in order of rising 2θ)
- 2θ = 28.49°, rel. 50
- 2θ = 30.19°, rel. 60
- 2θ = 30.25°, rel. 58
- 2θ = 31.32°, rel. 100
- 2θ = 31.42°, rel. 87
- 2θ = 33.31°, rel. 50

[5]
Starting from DFT lattice parameters and positions (GGA-PBE), the PXRD pattern of Pm4PrTc was simulated for Cu Kα.
Lines closer than 0.1° are merged.

Atomic structure:
Cell: 9.614 9.614 6.042 Å, 108.09 108.09 47.75°
Positions (direct):
Pm: 0.118 0.644 0.382
Pm: 0.217 0.783 0.000
Pm: 0.328 0.328 0.835
Pm: 0.356 0.882 0.618
Pm: 0.644 0.118 0.382
Pm: 0.672 0.672 0.165
Pm: 0.783 0.217 0.000
Pm: 0.882 0.356 0.618
Pr: 0.197 0.197 0.211
Pr: 0.803 0.803 0.789
Tc: 0.478 0.478 0.288
Tc: 0.522 0.522 0.712

Peak list (6 most intense, 2θ = 5–70°, in order of rising 2θ)
- 2θ = 25.30°, rel. 15
- 2θ = 29.57°, rel. 34
- 2θ = 30.76°, rel. 31
- 2θ = 30.88°, rel. 21
- 2θ = 31.81°, rel. 100
- 2θ = 39.29°, rel. 27

[6]
Starting from DFT lattice parameters and positions (GGA-PBE), the PXRD pattern of Pm3PrTc was simulated for Cu Kα.
Lines closer than 0.1° are merged.

Atomic structure:
Cell: 6.535 6.535 13.218 Å, 110.77 110.77 35.83°
Positions (direct):
Pm: 0.000 0.000 0.000
Pm: 0.022 0.022 0.375
Pm: 0.352 0.352 0.474
Pm: 0.466 0.466 0.751
Pm: 0.661 0.661 0.239
Pm: 0.688 0.688 0.610
Pr: 0.224 0.224 0.859
Pr: 0.333 0.333 0.140
Tc: 0.025 0.025 0.610
Tc: 0.660 0.660 0.998

Peak list (6 most intense, 2θ = 5–70°, in order of rising 2θ)
- 2θ = 30.10°, rel. 94
- 2θ = 31.02°, rel. 74
- 2θ = 31.17°, rel. 87
- 2θ = 32.21°, rel. 100
- 2θ = 33.78°, rel. 53
- 2θ = 33.97°, rel. 53

[7]
Starting from DFT lattice parameters and positions (GGA-PBE), the PXRD pattern of Pm2PrTe was simulated for Cu Kα.
Lines closer than 0.1° are merged.

Atomic structure:
Cell: 7.874 10.066 6.492 Å, 90.00 90.00 90.00°
Positions (direct):
Pm: 0.196 0.037 0.124
Pm: 0.196 0.463 0.124
Pm: 0.304 0.537 0.624
Pm: 0.304 0.963 0.624
Pm: 0.696 0.037 0.376
Pm: 0.696 0.463 0.376
Pm: 0.804 0.537 0.876
Pm: 0.804 0.963 0.876
Pr: 0.018 0.250 0.627
Pr: 0.482 0.750 0.127
Pr: 0.518 0.250 0.873
Pr: 0.982 0.750 0.373
Te: 0.107 0.750 0.899
Te: 0.393 0.250 0.399
Te: 0.607 0.750 0.601
Te: 0.893 0.250 0.101

Peak list (6 most intense, 2θ = 5–70°, in order of rising 2θ)
- 2θ = 28.79°, rel. 100
- 2θ = 31.10°, rel. 78
- 2θ = 31.98°, rel. 49
- 2θ = 32.11°, rel. 44
- 2θ = 34.81°, rel. 82
- 2θ = 35.68°, rel. 40

[8]
Starting from DFT lattice parameters and positions (GGA-PBE), the PXRD pattern of Pm2Pr3Te6 was simulated for Cu Kα.
Lines closer than 0.1° are merged.

Atomic structure:
Cell: 7.749 7.749 7.738 Å, 99.69 99.69 119.80°
Positions (direct):
Pm: 0.165 0.835 0.000
Pm: 0.835 0.165 0.000
Pr: 0.000 0.000 0.500
Pr: 0.332 0.668 0.500
Pr: 0.668 0.332 0.500
Te: 0.096 0.421 0.761
Te: 0.256 0.256 0.240
Te: 0.421 0.096 0.761
Te: 0.579 0.904 0.239
Te: 0.744 0.744 0.760
Te: 0.904 0.579 0.239

Peak list (6 most intense, 2θ = 5–70°, in order of rising 2θ)
- 2θ = 28.21°, rel. 100
- 2θ = 40.23°, rel. 25
- 2θ = 40.37°, rel. 50
- 2θ = 49.94°, rel. 14
- 2θ = 58.40°, rel. 8
- 2θ = 66.09°, rel. 17

[9]
Starting from DFT lattice parameters and positions (GGA-PBE), the PXRD pattern of PmPr3Y3Te8 was simulated for Cu Kα.
Lines closer than 0.1° are merged.

Atomic structure:
Cell: 8.883 8.883 8.883 Å, 59.72 59.72 59.72°
Positions (direct):
Pm: 0.000 0.000 0.000
Pr: 0.000 0.000 0.500
Pr: 0.000 0.500 0.000
Pr: 0.500 0.000 0.000
Y: 0.000 0.500 0.500
Y: 0.500 0.000 0.500
Y: 0.500 0.500 0.000
Te: 0.254 0.254 0.254
Te: 0.256 0.256 0.735
Te: 0.256 0.735 0.256
Te: 0.265 0.744 0.744
Te: 0.735 0.256 0.256
Te: 0.744 0.265 0.744
Te: 0.744 0.744 0.265
Te: 0.746 0.746 0.746

Peak list (6 most intense, 2θ = 5–70°, in order of rising 2θ)
- 2θ = 28.48°, rel. 100
- 2θ = 40.62°, rel. 38
- 2θ = 40.80°, rel. 37
- 2θ = 50.51°, rel. 20
- 2θ = 66.61°, rel. 17
- 2θ = 66.86°, rel. 17

[10]
Starting from DFT lattice parameters and positions (GGA-PBE), the PXRD pattern of Pm8Pr6Th was simulated for Cu Kα.
Lines closer than 0.1° are merged.

Atomic structure:
Cell: 8.875 8.875 8.875 Å, 63.41 63.41 63.41°
Positions (direct):
Pm: 0.077 0.077 0.077
Pm: 0.215 0.614 0.255
Pm: 0.255 0.215 0.614
Pm: 0.386 0.745 0.785
Pm: 0.614 0.255 0.215
Pm: 0.745 0.785 0.386
Pm: 0.785 0.386 0.745
Pm: 0.923 0.923 0.923
Pr: 0.039 0.599 0.735
Pr: 0.265 0.961 0.401
Pr: 0.401 0.265 0.961
Pr: 0.599 0.735 0.039
Pr: 0.735 0.039 0.599
Pr: 0.961 0.401 0.265
Th: 0.500 0.500 0.500

Peak list (6 most intense, 2θ = 5–70°, in order of rising 2θ)
- 2θ = 29.56°, rel. 36
- 2θ = 30.47°, rel. 100
- 2θ = 30.59°, rel. 69
- 2θ = 31.60°, rel. 51
- 2θ = 35.69°, rel. 25
- 2θ = 53.59°, rel. 21

[11]
Starting from DFT lattice parameters and positions (GGA-PBE), the PXRD pattern of PmPr3Th was simulated for Cu Kα.
Lines closer than 0.1° are merged.

Atomic structure:
Cell: 3.673 3.673 29.970 Å, 90.00 90.00 120.00°
Positions (direct):
Pm: 0.333 0.667 0.000
Pm: 0.667 0.333 0.500
Pr: 0.000 0.000 0.098
Pr: 0.000 0.000 0.598
Pr: 0.333 0.667 0.395
Pr: 0.333 0.667 0.703
Pr: 0.667 0.333 0.203
Pr: 0.667 0.333 0.895
Th: 0.000 0.000 0.299
Th: 0.000 0.000 0.799

Peak list (6 most intense, 2θ = 5–70°, in order of rising 2θ)
- 2θ = 29.47°, rel. 73
- 2θ = 29.81°, rel. 66
- 2θ = 30.53°, rel. 100
- 2θ = 33.39°, rel. 85
- 2θ = 49.63°, rel. 50
- 2θ = 58.98°, rel. 58

[12]
Starting from DFT lattice parameters and positions (GGA-PBE), the PXRD pattern of Pm5Pr8Th was simulated for Cu Kα.
Lines closer than 0.1° are merged.

Atomic structure:
Cell: 8.695 8.695 8.695 Å, 110.23 110.23 107.95°
Positions (direct):
Pm: 0.000 0.000 0.000
Pm: 0.215 0.312 0.692
Pm: 0.477 0.785 0.097
Pm: 0.620 0.523 0.308
Pm: 0.688 0.380 0.903
Pr: 0.158 0.439 0.093
Pr: 0.346 0.065 0.907
Pr: 0.419 0.153 0.395
Pr: 0.561 0.654 0.719
Pr: 0.758 0.023 0.605
Pr: 0.847 0.242 0.266
Pr: 0.935 0.842 0.281
Pr: 0.977 0.581 0.734
Th: 0.250 0.750 0.500

Peak list (6 most intense, 2θ = 5–70°, in order of rising 2θ)
- 2θ = 27.66°, rel. 48
- 2θ = 28.34°, rel. 100
- 2θ = 30.86°, rel. 15
- 2θ = 33.11°, rel. 56
- 2θ = 33.45°, rel. 37
- 2θ = 33.65°, rel. 36